Calculated powder X-ray diffraction pattern of LiEr3 for a wavelength of 1.5418 Å, from a structure optimized by DFT (GGA-PBE).
Lines closer than 0.1° are merged.

Structural model:
```
data_LiEr3
_chemical_formula_sum 'Li2 Er6'
_symmetry_space_group_name_H-M 'P 63/m m c'
_symmetry_Int_Tables_number 194
_symmetry_space_group_name_Hall '-P 6c 2c'
_cell_length_a 6.9149
_cell_length_b 6.9149
_cell_length_c 5.4961
_cell_angle_alpha 90.00
_cell_angle_beta 90.00
_cell_angle_gamma 120.00
loop_
_atom_site_label
_atom_site_type_symbol
_atom_site_fract_x
_atom_site_fract_y
_atom_site_fract_z
Li1 Li 0.3333 0.6667 0.2500
Er1 Er 0.1686 0.3372 0.7500
```

Most intense lines, 2θ = 15–90°, by angle:
Position (°2θ)	I/Imax	h k l
21.95	33	1 0 1
29.84	24	2 0 0
32.58	25	0 0 2
34.10	100	2 0 1
44.76	16	2 0 2
52.97	19	2 2 0
59.12	21	2 0 3
63.59	22	2 2 2
64.51	16	4 0 1
88.13	14	4 2 1

---

Calculated powder X-ray diffraction pattern of KBa2IO6 for a wavelength of 1.5418 Å, from a structure optimized by DFT (GGA-PBE).
Lines closer than 0.1° are merged.

Structural model:
```
data_KBa2IO6
_chemical_formula_sum 'K4 Ba8 I4 O24'
_symmetry_space_group_name_H-M 'F m -3 m'
_symmetry_Int_Tables_number 225
_symmetry_space_group_name_Hall '-F 4 2 3'
_cell_length_a 8.7457
_cell_length_b 8.7457
_cell_length_c 8.7457
_cell_angle_alpha 90.00
_cell_angle_beta 90.00
_cell_angle_gamma 90.00
loop_
_atom_site_label
_atom_site_type_symbol
_atom_site_fract_x
_atom_site_fract_y
_atom_site_fract_z
K1 K 0.0000 0.0000 0.0000
Ba1 Ba 0.2500 0.2500 0.2500
I1 I 0.0000 0.0000 0.5000
O1 O 0.0000 0.0000 0.2824
```

Most intense lines, 2θ = 15–90°, by angle:
Position (°2θ)	I/Imax	h k l
17.56	16	1 1 1
28.87	100	2 2 0
34.00	5	3 1 1
35.56	9	2 2 2
41.29	31	4 0 0
51.17	38	4 2 2
59.82	19	4 4 0
67.77	19	6 2 0
75.28	6	4 4 4
82.55	21	6 4 2

---

Calculated powder X-ray diffraction pattern of FeAg2Sn3S8 for a wavelength of 1.5418 Å, from a structure optimized by DFT (GGA-PBE).
Lines closer than 0.1° are merged.

Structural model:
```
data_FeAg2Sn3S8
_chemical_formula_sum 'Fe3 Ag6 Sn9 S24'
_symmetry_space_group_name_H-M 'R -3 m'
_symmetry_Int_Tables_number 166
_symmetry_space_group_name_Hall '-R 3 2"'
_cell_length_a 7.5593
_cell_length_b 7.5593
_cell_length_c 18.1942
_cell_angle_alpha 90.00
_cell_angle_beta 90.00
_cell_angle_gamma 120.00
loop_
_atom_site_label
_atom_site_type_symbol
_atom_site_fract_x
_atom_site_fract_y
_atom_site_fract_z
Fe1 Fe 0.0000 0.0000 0.0000
Ag1 Ag 0.0000 0.0000 0.3839
Sn1 Sn 0.0000 0.5000 0.5000
S1 S 0.0000 0.0000 0.2460
S2 S 0.0485 0.5242 0.7441
```

Most intense lines, 2θ = 15–90°, by angle:
Position (°2θ)	I/Imax	h k l
23.82	49	1 0 4
27.69	100	0 2 1
27.81	79	1 1 3
28.05	56	0 1 5
33.74	53	0 2 4
41.55	24	2 1 4
44.10	25	0 3 3
44.27	53	1 2 5
48.15	70	2 2 0
48.76	67	2 0 8

---

Calculated powder X-ray diffraction pattern of Nd6Ni20P13 for a wavelength of 1.5418 Å, from a structure optimized by DFT (GGA-PBE).
Lines closer than 0.1° are merged.

Structural model:
```
data_Nd6Ni20P13
_chemical_formula_sum 'Nd6 Ni20 P13'
_symmetry_space_group_name_H-M 'P -6'
_symmetry_Int_Tables_number 174
_cell_length_a 12.7945
_cell_length_b 12.7945
_cell_length_c 3.8324
_cell_angle_alpha 90.00
_cell_angle_beta 90.00
_cell_angle_gamma 120.00
loop_
_symmetry_equiv_pos_as_xyz
'x,y,z'
'-x+y,-x,-z'
'-y,x-y,z'
'x,y,-z'
'-x+y,-x,z'
'-y,x-y,-z'
loop_
_atom_site_label
_atom_site_type_symbol
_atom_site_fract_x
_atom_site_fract_y
_atom_site_fract_z
Nd1 Nd 0.0520 0.8540 0.0000
Nd2 Nd 0.5198 0.1344 0.5000
Ni1 Ni 0.0000 0.0000 0.5000
Ni2 Ni 0.0161 0.5903 0.0000
Ni3 Ni 0.0891 0.3529 0.5000
Ni4 Ni 0.1806 0.5864 0.5000
Ni5 Ni 0.2298 0.7560 0.0000
Ni6 Ni 0.3109 0.0821 0.0000
Ni7 Ni 0.3564 0.2561 0.5000
Ni8 Ni 0.6667 0.3333 0.0000
P1 P 0.0542 0.4324 0.0000
P2 P 0.1025 0.7103 0.5000
P3 P 0.2005 0.0543 0.5000
P4 P 0.3333 0.6667 0.0000
P5 P 0.4671 0.2808 0.0000
```

Most intense lines, 2θ = 15–90°, by angle:
Position (°2θ)	I/Imax	h k l
29.06	11	1 3 0
36.59	19	2 2 1
37.18	13	4 1 0
37.51	100	1 3 1
43.20	11	4 2 0
45.58	11	5 1 0
47.44	24	0 0 2
51.51	19	5 2 0
57.21	13	2 5 1
72.61	17	5 2 2